Theoretical powder XRD pattern of MgFe4S6O46 for a wavelength of 1.5418 Å, from a DFT-relaxed cell (PBE+U, the Materials Project).

Largest 10 diffraction maxima, in order of rising 2θ, 10° ≤ 2θ ≤ 80°:
10.02°, I 96, (0 0 2)
15.05°, I 45, (0 0 3)
15.51°, I 100, (1 1 1)
15.87°, I 25, (1 0 2)
16.96°, I 67, (1 1 -1)
22.58°, I 29, (1 -1 2)
23.22°, I 45, (1 1 -3)
25.56°, I 46, (2 0 1)
27.98°, I 34, (1 0 5)
29.28°, I 46, (1 -1 4)

```
data_MgFe4S6O46
_symmetry_space_group_name_H-M 'P -1'
_symmetry_Int_Tables_number 2
_cell_length_a 7.2596
_cell_length_b 7.5791
_cell_length_c 17.9480
_cell_angle_alpha 79.87
_cell_angle_beta 86.46
_cell_angle_gamma 77.07
loop_
_symmetry_equiv_pos_as_xyz
'x,y,z'
'-x,-y,-z'
loop_
_atom_site_label
_atom_site_fract_x
_atom_site_fract_y
_atom_site_fract_z
Mg1 0.0000 0.0000 0.0000
Fe1 0.1005 0.6491 0.3114
Fe2 0.4765 0.3125 0.3167
S1 0.1289 0.2725 0.4303
S2 0.1613 0.4074 0.1886
S3 0.3023 0.0528 0.7415
O1 0.0017 0.1443 0.4367
O2 0.0186 0.3116 0.2255
O3 0.0282 0.4504 0.3818
O4 0.0932 0.0552 0.0925
O5 0.1246 0.6024 0.2078
O6 0.1341 0.8603 0.3788
O7 0.1573 0.2073 0.7004
O8 0.1673 0.4226 0.1062
O9 0.1707 0.2149 0.9346
O10 0.1789 0.3060 0.5029
O11 0.1900 0.9133 0.3126
O12 0.2243 0.9630 0.8112
O13 0.2910 0.7638 0.9834
O14 0.3016 0.2805 0.9499
O15 0.3059 0.1911 0.3869
O16 0.3455 0.5642 0.7121
O17 0.3506 0.6599 0.5316
O18 0.3533 0.3102 0.2195
O19 0.3533 0.9233 0.6834
O20 0.3598 0.6751 0.9333
O21 0.3622 0.5330 0.3386
O22 0.4318 0.7211 0.4750
O23 0.4667 0.1195 0.7577
```